# Li4Nb2Fe3Co3O16
Calculated powder XRD pattern, a wavelength of 1.5418 Å. Input: a structure optimized by DFT (PBE+U).
Intensities are scaled so that the largest is 100.

Top 6 peaks for 15 to 90 degrees two-theta, in order of falling intensity:
d_spacing, intensity
4.528, 100
4.481, 60
4.803, 44
2.471, 42
1.469, 37
2.485, 33

Structural model:
Lattice parameters (Å, degrees): 5.878 5.878 9.608 91.11 91.11 60.13
Fractional positions:
1 Li 0.000 0.000 0.000
2 Li 0.002 0.002 0.497
3 Li 0.323 0.323 0.403
4 Li 0.656 0.656 0.909
5 Nb 0.325 0.325 0.004
6 Nb 0.657 0.657 0.499
7 Fe 0.163 0.651 0.724
8 Fe 0.651 0.163 0.724
9 Fe 0.823 0.823 0.226
10 Co 0.165 0.165 0.720
11 Co 0.335 0.825 0.220
12 Co 0.825 0.335 0.220
13 O 0.000 0.000 0.310
14 O 0.000 0.000 0.812
15 O 0.029 0.465 0.846
16 O 0.161 0.161 0.110
17 O 0.164 0.664 0.099
18 O 0.324 0.324 0.613
19 O 0.328 0.834 0.602
20 O 0.465 0.029 0.846
21 O 0.474 0.474 0.853
22 O 0.502 0.956 0.345
23 O 0.514 0.514 0.337
24 O 0.656 0.656 0.117
25 O 0.664 0.164 0.099
26 O 0.829 0.829 0.590
27 O 0.834 0.328 0.602
28 O 0.956 0.502 0.345


# NdMnO3
Calculated powder XRD pattern, a wavelength of 1.5418 Å. Input: a structure optimized by DFT (PBE+U).
Intensities are scaled so that the largest is 100.

Top 6 peaks for 15 to 90 degrees two-theta, in order of falling intensity:
d_spacing, intensity
2.778, 100
3.568, 27
2.751, 25
1.593, 23
1.805, 21
2.960, 20

Structural model:
Lattice parameters (Å, degrees): 5.921 7.668 5.502 90.00 90.00 90.00
Fractional positions:
1 Nd 0.072 0.250 0.015
2 Nd 0.428 0.750 0.515
3 Nd 0.572 0.250 0.485
4 Nd 0.928 0.750 0.985
5 Mn 0.000 0.000 0.500
6 Mn 0.000 0.500 0.500
7 Mn 0.500 0.000 0.000
8 Mn 0.500 0.500 0.000
9 O 0.027 0.750 0.402
10 O 0.184 0.549 0.787
11 O 0.184 0.951 0.787
12 O 0.316 0.049 0.287
13 O 0.316 0.451 0.287
14 O 0.473 0.250 0.902
15 O 0.527 0.750 0.098
16 O 0.684 0.549 0.713
17 O 0.684 0.951 0.713
18 O 0.816 0.049 0.213
19 O 0.816 0.451 0.213
20 O 0.973 0.250 0.598


# Mg6CdCoO8
Calculated powder XRD pattern, a wavelength of 1.5418 Å. Input: a structure optimized by DFT (PBE+U).
Intensities are scaled so that the largest is 100.

Top 6 peaks for 15 to 90 degrees two-theta, in order of falling intensity:
d_spacing, intensity
2.176, 100
1.539, 58
2.513, 39
2.902, 31
4.350, 22
3.079, 18

Structural model:
Lattice parameters (Å, degrees): 4.356 4.356 8.695 90.00 90.00 90.00
Fractional positions:
1 Mg 0.000 0.000 0.000
2 Mg 0.000 0.500 0.245
3 Mg 0.000 0.500 0.755
4 Mg 0.500 0.000 0.245
5 Mg 0.500 0.000 0.755
6 Mg 0.500 0.500 0.000
7 Cd 0.000 0.000 0.500
8 Co 0.500 0.500 0.500
9 O 0.000 0.000 0.234
10 O 0.000 0.000 0.766
11 O 0.000 0.500 0.000
12 O 0.000 0.500 0.500
13 O 0.500 0.000 0.000
14 O 0.500 0.000 0.500
15 O 0.500 0.500 0.248
16 O 0.500 0.500 0.752


# Ba2MgFeWO6
Calculated powder XRD pattern, a wavelength of 1.5418 Å. Input: a structure optimized by DFT (PBE+U).
Intensities are scaled so that the largest is 100.

Top 6 peaks for 15 to 90 degrees two-theta, in order of falling intensity:
d_spacing, intensity
3.033, 100
2.820, 77
3.267, 55
3.011, 49
4.991, 39
2.814, 38

Structural model:
Lattice parameters (Å, degrees): 6.023 6.066 6.570 62.63 62.78 60.24
Fractional positions:
1 Ba 0.000 0.000 0.000
2 Ba 0.437 0.418 0.706
3 Mg 0.642 0.642 0.073
4 Fe 0.810 0.799 0.580
5 W 0.219 0.215 0.347
6 O 0.446 0.981 0.591
7 O 0.453 0.439 0.124
8 O 0.455 0.990 0.099
9 O 0.978 0.435 0.611
10 O 0.981 0.982 0.590
11 O 0.983 0.441 0.124